For Ho7Tl4N, a cell relaxed with GGA-PBE gives the calculated X-ray powder pattern in this record (λ = 1.5418 Å (Cu Kα)).
Peak positions follow from Bragg's law for the DFT cell and can differ from measured ones.

Principal peaks in the range 10° ≤ 2θ ≤ 80°, in order of falling intensity:
2theta  intensity
33.83  100
34.07  86
37.10  42
34.89  41
51.84  27
24.45  25
19.56  19
45.57  18
60.16  16
64.79  16
61.73  14
64.94  14

Cell and atoms:
Cell: 8.7354 8.7354 11.0686 Å, 127.67 127.67 32.21°
Fractional positions:
Ho: 0.0000 0.0000 0.0000
Ho: 0.1228 0.1228 0.5430
Ho: 0.2788 0.2788 0.1473
Ho: 0.4494 0.4494 0.7623
Ho: 0.5506 0.5506 0.2377
Ho: 0.7212 0.7212 0.8527
Ho: 0.8772 0.8772 0.4570
Tl: 0.0869 0.0869 0.7941
Tl: 0.2257 0.2257 0.3741
Tl: 0.7743 0.7743 0.6259
Tl: 0.9131 0.9131 0.2059
N: 0.5000 0.5000 0.0000